# Sr2Hg3SbPd6
Calculated X-ray powder pattern, Cu Ka. Input: a DFT-relaxed cell (PBE, Alexandria).
No peak broadening, texture or thermal motion is included.

Most intense lines, 2θ from 10° to 90°, in order of rising 2θ:
- hkl 0 0 1, 2θ 21.63, d 4.108, I 363
- hkl 2 2 0, 2θ 26.53, d 3.360, I 276
- hkl 0 2 1, 2θ 32.79, d 2.731, I 993
- hkl 2 2 1, 2θ 34.49, d 2.601, I 438
- hkl 5 1 1, 2θ 36.39, d 2.469, I 653
- hkl 6 0 1, 2θ 38.54, d 2.336, I 717
- hkl 6 2 0, 2θ 40.21, d 2.243, I 1000
- hkl 1 3 -1, 2θ 43.50, d 2.081, I 388
- hkl 0 0 2, 2θ 44.09, d 2.054, I 513
- hkl 6 2 2, 2θ 61.19, d 1.515, I 605

Structural model:
```
data_Sr2Hg3SbPd6
_cell_length_a 17.036
_cell_length_b 7.313
_cell_length_c 4.108
_cell_angle_alpha 90.00
_cell_angle_beta 90.09
_cell_angle_gamma 90.00
_symmetry_space_group_name_H-M 'C 1 2/m 1'
_symmetry_Int_Tables_number 12
_symmetry_space_group_name_Hall '-C 2y'
loop_
_atom_site_label
_atom_site_fract_x
_atom_site_fract_y
_atom_site_fract_z
_atom_site_occupancy
Sr1 0.143 0.000 0.000 1
Hg1 0.000 0.000 0.500 1
Hg2 0.250 0.250 0.500 1
Sb1 0.000 0.500 0.000 1
Pd1 0.085 0.315 0.501 1
Pd2 0.175 0.500 0.001 1
```

***

# InTeBr
Calculated X-ray powder pattern, Cu Ka. Input: a DFT-relaxed cell (PBE, Alexandria).
No peak broadening, texture or thermal motion is included.

Most intense lines, 2θ from 10° to 90°, in order of rising 2θ:
- hkl 1 0 0, 2θ 12.42, d 7.128, I 1000
- hkl 0 0 2, 2θ 23.45, d 3.793, I 334
- hkl 1 1 1, 2θ 23.65, d 3.762, I 547
- hkl 2 0 -2, 2θ 25.33, d 3.516, I 642
- hkl 1 2 -1, 2θ 26.31, d 3.388, I 747
- hkl 2 1 -2, 2θ 27.88, d 3.200, I 361
- hkl 1 2 1, 2θ 31.11, d 2.875, I 441
- hkl 3 2 -1, 2θ 41.49, d 2.176, I 358
- hkl 2 1 2, 2θ 43.62, d 2.075, I 320
- hkl 3 2 -3, 2θ 45.27, d 2.003, I 280

Structural model:
```
data_InTeBr
_cell_length_a 8.004
_cell_length_b 7.722
_cell_length_c 8.520
_cell_angle_alpha 90.00
_cell_angle_beta 117.07
_cell_angle_gamma 90.00
_symmetry_space_group_name_H-M 'P 1 21/c 1'
_symmetry_Int_Tables_number 14
_symmetry_space_group_name_Hall '-P 2ybc'
loop_
_atom_site_label
_atom_site_fract_x
_atom_site_fract_y
_atom_site_fract_z
_atom_site_occupancy
In1 0.032 0.201 0.389 1
Te1 0.198 0.636 0.936 1
Br1 0.308 0.103 0.082 1
```

***

# Ac4IrAu3
Calculated X-ray powder pattern, Cu Ka. Input: a DFT-relaxed cell (PBE, Alexandria).
No peak broadening, texture or thermal motion is included.

Most intense lines, 2θ from 10° to 90°, in order of rising 2θ:
- hkl 1 1 1, 2θ 24.28, d 3.666, I 7
- hkl 2 0 0, 2θ 28.11, d 3.175, I 1000
- hkl 2 2 0, 2θ 40.17, d 2.245, I 786
- hkl 2 2 2, 2θ 49.74, d 1.833, I 286
- hkl 4 0 0, 2θ 58.11, d 1.587, I 136
- hkl 4 2 0, 2θ 65.77, d 1.420, I 377
- hkl 4 2 2, 2θ 73.00, d 1.296, I 281
- hkl 4 4 0, 2θ 86.76, d 1.122, I 93

Structural model:
```
data_Ac4IrAu3
_cell_length_a 6.350
_cell_length_b 6.350
_cell_length_c 6.350
_cell_angle_alpha 90.00
_cell_angle_beta 90.00
_cell_angle_gamma 90.00
_symmetry_space_group_name_H-M 'P m -3 m'
_symmetry_Int_Tables_number 221
_symmetry_space_group_name_Hall '-P 4 2 3'
loop_
_atom_site_label
_atom_site_fract_x
_atom_site_fract_y
_atom_site_fract_z
_atom_site_occupancy
Ac1 0.000 0.000 0.000 1
Ac2 0.000 0.500 0.500 1
Ir1 0.500 0.500 0.500 1
Au1 0.000 0.000 0.500 1
```